# Nd8ErSc3
Simulated X-ray diffraction stick pattern, λ = 1.5418 Å (Cu Kα). Input: DFT lattice parameters and positions (PBE).
Neutral-atom scattering factors, no anomalous dispersion.

```
data_Nd8ErSc3
_cell_length_a 6.7877
_cell_length_b 10.7944
_cell_length_c 11.5160
_cell_angle_alpha 90.00
_cell_angle_beta 90.00
_cell_angle_gamma 90.00
_symmetry_space_group_name_H-M 'I m m m'
_symmetry_Int_Tables_number 71
_symmetry_space_group_name_Hall '-I 2 2'
loop_
_atom_site_label
_atom_site_type_symbol
_atom_site_fract_x
_atom_site_fract_y
_atom_site_fract_z
Nd1 Nd 0.0000 0.1639 0.2481
Nd2 Nd 0.2234 0.2867 0.5000
Er1 Er 0.0000 0.0000 0.5000
Sc1 Sc 0.0000 0.0000 0.0000
Sc2 Sc 0.0000 0.5000 0.2859
```

Main lines, in order of falling intensity (2θ = 15–90°):
d [Å]	I (rel.)
2.783	100
2.571	91
2.878	81
2.924	65
5.747	56
5.397	35

# Nd2ErSc2
Simulated X-ray diffraction stick pattern, λ = 1.5418 Å (Cu Kα). Input: DFT lattice parameters and positions (PBE).
Neutral-atom scattering factors, no anomalous dispersion.

```
data_Nd2ErSc2
_cell_length_a 5.5007
_cell_length_b 6.8051
_cell_length_c 16.2630
_cell_angle_alpha 90.00
_cell_angle_beta 90.00
_cell_angle_gamma 90.00
_symmetry_space_group_name_H-M 'I m m a'
_symmetry_Int_Tables_number 74
_symmetry_space_group_name_Hall '-I 2b 2'
loop_
_atom_site_label
_atom_site_type_symbol
_atom_site_fract_x
_atom_site_fract_y
_atom_site_fract_z
Nd1 Nd 0.0000 0.2500 0.0024
Nd2 Nd 0.0000 0.2500 0.3734
Er1 Er 0.0000 0.2500 0.6261
Sc1 Sc 0.0000 0.0056 0.8067
```

Main lines, in order of falling intensity (2θ = 15–90°):
d [Å]	I (rel.)
2.553	100
2.800	63
3.861	61
2.750	46
3.403	35
1.474	26

# Nd8Er2Sc3
Simulated X-ray diffraction stick pattern, λ = 1.5418 Å (Cu Kα). Input: DFT lattice parameters and positions (PBE).
Neutral-atom scattering factors, no anomalous dispersion.

```
data_Nd8Er2Sc3
_cell_length_a 6.1095
_cell_length_b 7.5470
_cell_length_c 9.4163
_cell_angle_alpha 91.51
_cell_angle_beta 92.13
_cell_angle_gamma 104.71
_symmetry_space_group_name_H-M 'P -1'
_symmetry_Int_Tables_number 2
loop_
_symmetry_equiv_pos_as_xyz
'x,y,z'
'-x,-y,-z'
loop_
_atom_site_label
_atom_site_type_symbol
_atom_site_fract_x
_atom_site_fract_y
_atom_site_fract_z
Nd1 Nd 0.1209 0.1756 0.3980
Nd2 Nd 0.2004 0.6190 0.3827
Nd3 Nd 0.2225 0.4184 0.0585
Nd4 Nd 0.2437 0.9228 0.0893
Er1 Er 0.3235 0.6764 0.7523
Sc1 Sc 0.2886 0.1983 0.7560
Sc2 Sc 0.5000 0.0000 0.5000
```

Main lines, in order of falling intensity (2θ = 15–90°):
d [Å]	I (rel.)
2.719	100
2.822	69
2.832	55
2.836	51
2.558	37
2.952	34

# Nd4Er4Sc
Simulated X-ray diffraction stick pattern, λ = 1.5418 Å (Cu Kα). Input: DFT lattice parameters and positions (PBE).
Neutral-atom scattering factors, no anomalous dispersion.

```
data_Nd4Er4Sc
_cell_length_a 10.6974
_cell_length_b 10.6974
_cell_length_c 5.0011
_cell_angle_alpha 90.00
_cell_angle_beta 90.00
_cell_angle_gamma 90.00
_symmetry_space_group_name_H-M 'I 4/m m m'
_symmetry_Int_Tables_number 139
_symmetry_space_group_name_Hall '-I 4 2'
loop_
_atom_site_label
_atom_site_type_symbol
_atom_site_fract_x
_atom_site_fract_y
_atom_site_fract_z
Nd1 Nd 0.1641 0.1641 0.0000
Er1 Er 0.0000 0.3334 0.5000
Sc1 Sc 0.0000 0.0000 0.5000
```

Main lines, in order of falling intensity (2θ = 15–90°):
d [Å]	I (rel.)
2.903	100
2.521	34
1.519	28
1.775	24
2.501	17
1.510	14